This entry pairs a crystal structure of RbBaBe2F8 with its theoretical XRD peak list. Radiation: λ = 1.5418 Å (Cu Kα). Structure: a cell relaxed with PBE.

Main lines, in order of rising 2θ (2θ from 10° to 90°):
2θ/deg	I (rel.)
18.82	91
21.42	29
27.84	100
32.91	34
38.99	66
43.63	30
45.78	25
51.27	19
53.81	17
55.71	25

Structure:
Cell: 5.4435 5.4435 8.7387 Å, 90.00 90.00 120.00°
Space group P-3 (No. 147)
Asymmetric unit:
Rb 0.0000 0.0000 0.0000
Ba 0.0000 0.0000 0.5000
Be 0.3333 0.6667 0.7621
F 0.0798 0.3830 0.7027
F 0.3333 0.6667 0.9401